Li2RhN2: computed powder XRD pattern (Cu Kα X-rays), based on DFT lattice parameters and positions (PBE).

Atomic structure:
abc: 3.2215 3.2215 5.0760
angles: 90.00 90.00 120.00
Positions (direct):
Li (0.3333, 0.6667, 0.1455)
Li (0.6667, 0.3333, 0.8545)
Rh (0.0000, 0.0000, 0.5000)
N (0.3333, 0.6667, 0.7093)
N (0.6667, 0.3333, 0.2907)

Main lines, most intense first (2θ = 10–90°):
| 2θ (°) | I/Imax |
| --- | --- |
| 17.47 | 100.0 |
| 36.76 | 90.0 |
| 48.49 | 50.1 |
| 32.08 | 43.2 |
| 57.19 | 20.4 |
| 60.28 | 20.0 |
| 64.40 | 17.7 |
| 69.94 | 13.2 |
| 78.19 | 11.4 |
| 35.37 | 9.3 |
| 69.06 | 8.9 |
| 83.73 | 8.1 |

Cs3InF6: computed powder XRD pattern (Cu Kα X-rays), based on DFT lattice parameters and positions (PBE).

Atomic structure:
abc: 6.9938 6.9938 6.9938
angles: 60.00 60.00 60.00
Positions (direct):
Cs (0.0000, 0.0000, 0.0000)
Cs (0.2500, 0.2500, 0.2500)
Cs (0.7500, 0.7500, 0.7500)
In (0.5000, 0.5000, 0.5000)
F (0.2863, 0.2863, 0.7137)
F (0.2863, 0.7137, 0.2863)
F (0.2863, 0.7137, 0.7137)
F (0.7137, 0.2863, 0.2863)
F (0.7137, 0.2863, 0.7137)
F (0.7137, 0.7137, 0.2863)

Main lines, most intense first (2θ = 10–90°):
| 2θ (°) | I/Imax |
| --- | --- |
| 25.47 | 100.0 |
| 44.90 | 40.5 |
| 36.33 | 32.3 |
| 71.36 | 23.0 |
| 59.07 | 21.1 |
| 52.33 | 20.5 |
| 82.81 | 10.9 |
| 88.40 | 8.3 |
| 65.37 | 6.5 |
| 77.15 | 3.0 |
| 31.33 | 2.6 |
| 39.72 | 0.7 |

Ti4H3: computed powder XRD pattern (Cu Kα X-rays), based on DFT lattice parameters and positions (PBE).

Atomic structure:
abc: 4.2245 4.2245 4.4164
angles: 90.00 90.00 90.00
Positions (direct):
Ti (0.2439, 0.2439, 0.2614)
Ti (0.2439, 0.7561, 0.7386)
Ti (0.7561, 0.2439, 0.7386)
Ti (0.7561, 0.7561, 0.2614)
H (0.0000, 0.0000, 0.0000)
H (0.5000, 0.5000, 0.0000)
H (0.5000, 0.5000, 0.5000)

Main lines, most intense first (2θ = 10–90°):
| 2θ (°) | I/Imax |
| --- | --- |
| 36.31 | 100.0 |
| 42.81 | 29.1 |
| 74.16 | 19.9 |
| 60.67 | 19.4 |
| 40.87 | 16.6 |
| 71.44 | 10.8 |
| 62.15 | 9.1 |
| 77.09 | 8.6 |
| 88.57 | 1.5 |
| 51.46 | 0.7 |

CeAlCu2Ni2: computed powder XRD pattern (Cu Kα X-rays), based on DFT lattice parameters and positions (PBE).

Atomic structure:
abc: 4.9449 4.9449 4.1018
angles: 90.00 90.00 118.02
Positions (direct):
Ce (0.0000, 0.0000, 0.0000)
Al (0.5000, 0.5000, 0.5000)
Cu (0.0000, 0.5000, 0.5000)
Cu (0.5000, 0.0000, 0.5000)
Ni (0.3358, 0.6642, 0.0000)
Ni (0.6642, 0.3358, 0.0000)

Main lines, most intense first (2θ = 10–90°):
| 2θ (°) | I/Imax |
| --- | --- |
| 42.71 | 100.0 |
| 41.75 | 76.5 |
| 36.36 | 46.0 |
| 30.32 | 45.4 |
| 44.16 | 42.2 |
| 41.37 | 32.0 |
| 29.89 | 25.8 |
| 58.48 | 22.1 |
| 68.41 | 20.3 |
| 62.10 | 18.6 |
| 21.67 | 15.9 |
| 77.21 | 14.9 |

Ge12As11I4: computed powder XRD pattern (Cu Kα X-rays), based on DFT lattice parameters and positions (PBE).

Atomic structure:
abc: 11.1557 11.1557 11.1557
angles: 90.00 90.00 90.00
Positions (direct):
Ge (0.0000, 0.1184, 0.3104)
Ge (0.0000, 0.1184, 0.6896)
Ge (0.0000, 0.8816, 0.3104)
Ge (0.0000, 0.8816, 0.6896)
Ge (0.1184, 0.3104, 0.0000)
Ge (0.1184, 0.6896, 0.0000)
Ge (0.1896, 0.3816, 0.5000)
Ge (0.1896, 0.6184, 0.5000)
Ge (0.3104, 0.0000, 0.1184)
Ge (0.3104, 0.0000, 0.8816)
Ge (0.3816, 0.5000, 0.1896)
Ge (0.3816, 0.5000, 0.8104)
Ge (0.5000, 0.1896, 0.3816)
Ge (0.5000, 0.1896, 0.6184)
Ge (0.5000, 0.8104, 0.3816)
Ge (0.5000, 0.8104, 0.6184)
Ge (0.6184, 0.5000, 0.1896)
Ge (0.6184, 0.5000, 0.8104)
Ge (0.6896, 0.0000, 0.1184)
Ge (0.6896, 0.0000, 0.8816)
Ge (0.8104, 0.3816, 0.5000)
Ge (0.8104, 0.6184, 0.5000)
Ge (0.8816, 0.3104, 0.0000)
Ge (0.8816, 0.6896, 0.0000)
As (0.0000, 0.2500, 0.5000)
As (0.0000, 0.7500, 0.5000)
As (0.1856, 0.1856, 0.1856)
As (0.1856, 0.1856, 0.8144)
As (0.1856, 0.8144, 0.1856)
As (0.1856, 0.8144, 0.8144)
As (0.2500, 0.5000, 0.0000)
As (0.3144, 0.3144, 0.3144)
As (0.3144, 0.3144, 0.6856)
As (0.3144, 0.6856, 0.3144)
As (0.3144, 0.6856, 0.6856)
As (0.5000, 0.0000, 0.2500)
As (0.5000, 0.0000, 0.7500)
As (0.6856, 0.3144, 0.3144)
As (0.6856, 0.3144, 0.6856)
As (0.6856, 0.6856, 0.3144)
As (0.6856, 0.6856, 0.6856)
As (0.7500, 0.5000, 0.0000)
As (0.8144, 0.1856, 0.1856)
As (0.8144, 0.1856, 0.8144)
As (0.8144, 0.8144, 0.1856)
As (0.8144, 0.8144, 0.8144)
I (0.0000, 0.0000, 0.0000)
I (0.0000, 0.5000, 0.2500)
I (0.0000, 0.5000, 0.7500)
I (0.2500, 0.0000, 0.5000)
I (0.5000, 0.2500, 0.0000)
I (0.5000, 0.5000, 0.5000)
I (0.5000, 0.7500, 0.0000)
I (0.7500, 0.0000, 0.5000)

Main lines, most intense first (2θ = 10–90°):
| 2θ (°) | I/Imax |
| --- | --- |
| 29.97 | 100.0 |
| 50.43 | 48.2 |
| 47.53 | 37.5 |
| 28.86 | 37.0 |
| 27.70 | 29.8 |
| 48.99 | 21.6 |
| 32.09 | 14.4 |
| 33.11 | 14.2 |
| 48.26 | 12.3 |
| 79.71 | 9.1 |
| 65.93 | 7.9 |
| 61.04 | 7.5 |

CaYNb2O7: computed powder XRD pattern (Cu Kα X-rays), based on DFT lattice parameters and positions (PBE).

Atomic structure:
abc: 7.4278 7.4278 7.4278
angles: 121.00 119.44 89.62
Positions (direct):
Ca (0.5000, 0.0000, 0.0000)
Ca (0.5000, 0.5000, 0.5000)
Y (0.0000, 0.0000, 0.0000)
Y (0.5000, 0.0000, 0.5000)
Nb (0.0000, 0.0000, 0.5000)
Nb (0.0000, 0.5000, 0.0000)
Nb (0.0000, 0.5000, 0.5000)
Nb (0.5000, 0.5000, 0.0000)
O (0.0766, 0.4166, 0.2465)
O (0.0766, 0.8301, 0.6600)
O (0.0888, 0.8388, 0.2500)
O (0.3193, 0.5693, 0.7500)
O (0.3299, 0.1699, 0.7465)
O (0.3299, 0.5834, 0.1600)
O (0.3672, 0.1172, 0.2500)
O (0.6328, 0.8828, 0.7500)
O (0.6701, 0.4166, 0.8400)
O (0.6701, 0.8301, 0.2535)
O (0.6807, 0.4307, 0.2500)
O (0.9112, 0.1612, 0.7500)
O (0.9234, 0.1699, 0.3400)
O (0.9234, 0.5834, 0.7535)

Main lines, most intense first (2θ = 10–90°):
| 2θ (°) | I/Imax |
| --- | --- |
| 29.73 | 100.0 |
| 29.25 | 99.4 |
| 49.07 | 68.1 |
| 58.02 | 41.9 |
| 34.27 | 32.1 |
| 58.87 | 25.7 |
| 14.51 | 20.3 |
| 48.62 | 17.4 |
| 34.03 | 16.6 |
| 49.87 | 16.5 |
| 58.26 | 15.0 |
| 79.23 | 10.9 |

Cu3Bi4I16: computed powder XRD pattern (Cu Kα X-rays), based on DFT lattice parameters and positions (PBE).

Atomic structure:
abc: 8.7494 8.7494 15.2935
angles: 105.45 105.45 59.40
Positions (direct):
Cu (0.0000, 0.0000, 0.0000)
Cu (0.5138, 0.5138, 0.0126)
Cu (0.7246, 0.7246, 0.2493)
Bi (0.0458, 0.0458, 0.7006)
Bi (0.2967, 0.2967, 0.9340)
Bi (0.3130, 0.8051, 0.4356)
Bi (0.8051, 0.3130, 0.4356)
I (0.1771, 0.1771, 0.0706)
I (0.1851, 0.1851, 0.5642)
I (0.1866, 0.6851, 0.5703)
I (0.1881, 0.6875, 0.0623)
I (0.4302, 0.9410, 0.3155)
I (0.4314, 0.4314, 0.3191)
I (0.4328, 0.9260, 0.8144)
I (0.4379, 0.4379, 0.8308)
I (0.6793, 0.6793, 0.5629)
I (0.6851, 0.1866, 0.5703)
I (0.6875, 0.1881, 0.0623)
I (0.6895, 0.6895, 0.0772)
I (0.9244, 0.9244, 0.8187)
I (0.9260, 0.4328, 0.8144)
I (0.9279, 0.9279, 0.3107)
I (0.9410, 0.4302, 0.3155)

Main lines, most intense first (2θ = 10–90°):
| 2θ (°) | I/Imax |
| --- | --- |
| 28.63 | 100.0 |
| 41.09 | 51.1 |
| 28.98 | 49.8 |
| 41.29 | 48.4 |
| 25.11 | 33.9 |
| 40.19 | 26.1 |
| 41.67 | 24.4 |
| 12.20 | 23.5 |
| 51.55 | 19.5 |
| 12.48 | 18.5 |
| 21.38 | 18.4 |
| 18.64 | 17.6 |